Diffraction record for Tb6Pm16Tm7. The powder X-ray diffraction pattern is theoretical, not measured: it uses a DFT-relaxed cell (PBE, Alexandria) and Cu Ka.
Kinematic intensities with the Lorentz-polarization factor, no thermal factor.

The 8 most intense peaks (2θ = 10–80°), by intensity:
31.9 deg, I 100
56.8 deg, I 27
45.7 deg, I 15
29.2 deg, I 10
75.7 deg, I 8
66.6 deg, I 8
27.5 deg, I 6
43.8 deg, I 6

Crystal structure
Cell: 11.236 11.236 11.236 Å, 60.00 60.00 60.00°
Fractional positions:
Tb (0.232, 0.232, 0.768)
Tb (0.232, 0.768, 0.232)
Tb (0.232, 0.768, 0.768)
Tb (0.768, 0.232, 0.232)
Tb (0.768, 0.232, 0.768)
Tb (0.768, 0.768, 0.232)
Pm (0.125, 0.625, 0.625)
Pm (0.150, 0.150, 0.150)
Pm (0.150, 0.150, 0.551)
Pm (0.150, 0.551, 0.150)
Pm (0.375, 0.375, 0.375)
Pm (0.375, 0.375, 0.875)
Pm (0.375, 0.875, 0.375)
Pm (0.449, 0.850, 0.850)
Pm (0.551, 0.150, 0.150)
Pm (0.625, 0.125, 0.625)
Pm (0.625, 0.625, 0.125)
Pm (0.625, 0.625, 0.625)
Pm (0.850, 0.449, 0.850)
Pm (0.850, 0.850, 0.449)
Pm (0.850, 0.850, 0.850)
Pm (0.875, 0.375, 0.375)
Tm (0.000, 0.000, 0.500)
Tm (0.000, 0.500, 0.000)
Tm (0.000, 0.500, 0.500)
Tm (0.500, 0.000, 0.000)
Tm (0.500, 0.000, 0.500)
Tm (0.500, 0.500, 0.000)
Tm (0.500, 0.500, 0.500)